For Li7Ti16O32, a crystal structure in the Materials Project, relaxed with PBE gives the computed PXRD pattern in this record (Cu Ka).
Kinematic intensities with the Lorentz-polarization factor, no thermal factor.

The 8 most intense peaks (5° ≤ 2θ ≤ 70°), most intense first:
18.15°, I = 100
42.73°, I = 59
35.17°, I = 43
62.03°, I = 34
56.50°, I = 20
65.21°, I = 13
46.79°, I = 8
36.79°, I = 5

Crystal structure
Cell: 8.4636 8.4636 16.9278 Å, 90.00 90.00 90.00°
Space group I-42m (No. 121)
Inequivalent atoms, fractional coordinates:
Li 0.0000 0.0000 0.0000 x2
Li 0.0000 0.5000 0.2500 x4
Li 0.2492 0.2492 0.6245 x8
Ti 0.1241 0.3722 0.4379 x16
Ti 0.1248 0.1248 0.3136 x8
Ti 0.1247 0.1247 0.8129 x8
O 0.1123 0.1123 0.1938 x8
O 0.1123 0.1123 0.6942 x8
O 0.1119 0.3878 0.0562 x16
O 0.1372 0.1372 0.9312 x8
O 0.1371 0.3621 0.8186 x16
O 0.1412 0.1412 0.4293 x8